# 1
Starting from DFT lattice parameters and positions (GGA-PBE), the X-ray diffraction stick pattern of MgTi11O20 was simulated for Cu Kα, 1.54184 Å.

Structural model:
a b c (Å): 10.7625 10.7625 5.2958
angles (deg): 97.33 97.33 138.53
Element x y z (fractional)
Mg 0.0000 0.0000 0.0000
Ti 0.0716 0.2582 0.6580
Ti 0.1862 0.8763 0.1205
Ti 0.2582 0.0716 0.6580
Ti 0.3790 0.6865 0.1254
Ti 0.4478 0.9465 0.7793
Ti 0.5029 0.5029 0.9966
Ti 0.5723 0.7633 0.6589
Ti 0.6865 0.3790 0.1254
Ti 0.7633 0.5723 0.6589
Ti 0.8763 0.1862 0.1205
Ti 0.9465 0.4478 0.7793
O 0.0081 0.1455 0.3007
O 0.0343 0.8514 0.7652
O 0.0959 0.4165 0.0150
O 0.1455 0.0081 0.3007
O 0.2215 0.2215 0.8471
O 0.2323 0.7328 0.9224
O 0.3077 0.9390 0.4874
O 0.3505 0.5338 0.7614
O 0.4165 0.0959 0.0150
O 0.4370 0.8093 0.4865
O 0.5100 0.6384 0.2898
O 0.5338 0.3505 0.7614
O 0.5963 0.9162 0.0242
O 0.6384 0.5100 0.2898
O 0.7058 0.7058 0.8490
O 0.7328 0.2323 0.9224
O 0.8093 0.4370 0.4865
O 0.8514 0.0343 0.7652
O 0.9162 0.5963 0.0242
O 0.9390 0.3077 0.4874

Top 10 peaks for 5 to 70 degrees two-theta, in order of falling intensity:
2theta, I/Imax
25.05, 100
32.25, 69
17.96, 37
47.74, 35
58.79, 21
40.69, 21
45.61, 20
55.47, 19
36.84, 18
36.05, 17


# 2
Starting from DFT lattice parameters and positions (GGA-PBE), the X-ray diffraction stick pattern of Pr2Ho was simulated for Cu Kα, 1.54184 Å.

Structural model:
a b c (Å): 3.6514 3.6514 35.5901
angles (deg): 90.00 90.00 120.00
Element x y z (fractional)
Pr 0.0000 0.0000 0.0809
Pr 0.0000 0.0000 0.2526
Pr 0.0000 0.0000 0.4169
Pr 0.0000 0.0000 0.5831
Pr 0.0000 0.0000 0.7474
Pr 0.0000 0.0000 0.9191
Pr 0.3333 0.6667 0.1666
Pr 0.3333 0.6667 0.8334
Ho 0.3333 0.6667 0.5000
Ho 0.6667 0.3333 0.0000
Ho 0.6667 0.3333 0.3337
Ho 0.6667 0.3333 0.6663

Top 10 peaks for 5 to 70 degrees two-theta, in order of falling intensity:
2theta, I/Imax
32.08, 100
29.23, 48
30.13, 36
59.45, 31
36.38, 27
49.96, 27
54.75, 21
60.61, 16
47.93, 13
58.93, 7


# 3
Starting from DFT lattice parameters and positions (GGA-PBE), the X-ray diffraction stick pattern of Zr2VRe3 was simulated for Cu Kα, 1.54184 Å.

Structural model:
a b c (Å): 5.3266 5.3266 8.5445
angles (deg): 90.00 90.00 120.00
Element x y z (fractional)
Zr 0.3333 0.6667 0.0628
Zr 0.3333 0.6667 0.4372
Zr 0.6667 0.3333 0.5628
Zr 0.6667 0.3333 0.9372
V 0.0000 0.0000 0.0000
V 0.0000 0.0000 0.5000
Re 0.1685 0.3370 0.7500
Re 0.1685 0.8315 0.7500
Re 0.3370 0.1685 0.2500
Re 0.6630 0.8315 0.7500
Re 0.8315 0.1685 0.2500
Re 0.8315 0.6630 0.2500

Top 10 peaks for 5 to 70 degrees two-theta, in order of falling intensity:
2theta, I/Imax
40.51, 100
39.89, 48
37.10, 43
20.79, 42
68.31, 29
50.95, 20
39.05, 19
42.31, 18
44.65, 18
62.45, 17


# 4
Starting from DFT lattice parameters and positions (GGA-PBE), the X-ray diffraction stick pattern of Np2N3 was simulated for Cu Kα, 1.54184 Å.

Structural model:
a b c (Å): 9.1679 9.1679 9.1679
angles (deg): 109.47 109.47 109.47
Element x y z (fractional)
Np 0.0000 0.0000 0.0000
Np 0.0000 0.5000 0.5000
Np 0.0238 0.7738 0.2500
Np 0.2262 0.7500 0.9762
Np 0.2500 0.0238 0.7738
Np 0.2500 0.5238 0.2738
Np 0.2738 0.2500 0.5238
Np 0.4762 0.7262 0.7500
Np 0.5000 0.0000 0.5000
Np 0.5000 0.5000 0.0000
Np 0.5238 0.2738 0.2500
Np 0.7262 0.7500 0.4762
Np 0.7500 0.4762 0.7262
Np 0.7500 0.9762 0.2262
Np 0.7738 0.2500 0.0238
Np 0.9762 0.2262 0.7500
N 0.0028 0.4733 0.7366
N 0.0267 0.0295 0.2634
N 0.0295 0.2634 0.0267
N 0.2338 0.4705 0.4972
N 0.2366 0.2662 0.7634
N 0.2366 0.7634 0.7338
N 0.2634 0.0267 0.0295
N 0.2634 0.9972 0.5267
N 0.2662 0.7634 0.2366
N 0.4705 0.4972 0.2338
N 0.4733 0.7366 0.0028
N 0.4972 0.2338 0.4705
N 0.5028 0.7662 0.5295
N 0.5267 0.2634 0.9972
N 0.5295 0.5028 0.7662
N 0.7338 0.2366 0.7634
N 0.7366 0.0028 0.4733
N 0.7366 0.9733 0.9705
N 0.7634 0.2366 0.2662
N 0.7634 0.7338 0.2366
N 0.7662 0.5295 0.5028
N 0.9705 0.7366 0.9733
N 0.9733 0.9705 0.7366
N 0.9972 0.5267 0.2634

Top 10 peaks for 5 to 70 degrees two-theta, in order of falling intensity:
2theta, I/Imax
29.22, 100
33.87, 42
48.66, 39
57.77, 39
60.60, 10
20.55, 5
43.60, 5
59.20, 4
35.99, 3
53.35, 3


# 5
Starting from DFT lattice parameters and positions (GGA-PBE), the X-ray diffraction stick pattern of SbSeBr was simulated for Cu Kα, 1.54184 Å.

Structural model:
a b c (Å): 8.7004 4.0824 10.8667
angles (deg): 90.00 90.00 90.00
Element x y z (fractional)
Sb 0.1070 0.2500 0.1317
Sb 0.3930 0.7500 0.6317
Sb 0.6070 0.2500 0.3683
Sb 0.8930 0.7500 0.8683
Se 0.1747 0.7500 0.9603
Se 0.3253 0.2500 0.4603
Se 0.6747 0.7500 0.5397
Se 0.8253 0.2500 0.0397
Br 0.0198 0.2500 0.6981
Br 0.4802 0.7500 0.1981
Br 0.5198 0.2500 0.8019
Br 0.9802 0.7500 0.3019

Top 10 peaks for 5 to 70 degrees two-theta, in order of falling intensity:
2theta, I/Imax
29.22, 100
13.04, 70
33.06, 44
34.65, 34
26.24, 29
31.94, 28
45.19, 24
44.38, 24
48.14, 23
35.07, 21